# Na6FeCl8
Simulated powder diffraction line list, CuKα. Input: a crystal structure in the Materials Project, relaxed with PBE.
Peak positions follow from Bragg's law for the DFT cell and can differ from measured ones.

Largest 8 diffraction maxima, in order of rising 2θ, 10 to 90 degrees two-theta:
2θ (°)  intensity
13.55  45
31.61  100
41.45  15
45.32  62
47.52  8
56.30  19
75.05  19
83.71  13

```
Na6FeCl8
1.0
0.000 5.660 5.660
5.660 0.000 5.660
5.660 5.660 0.000
Na Fe Cl
6 1 8
direct
0.000 0.000 0.500 Na
0.000 0.500 0.000 Na
0.000 0.500 0.500 Na
0.500 0.000 0.000 Na
0.500 0.000 0.500 Na
0.500 0.500 0.000 Na
0.000 0.000 0.000 Fe
0.223 0.223 0.777 Cl
0.223 0.777 0.223 Cl
0.223 0.777 0.777 Cl
0.250 0.250 0.250 Cl
0.750 0.750 0.750 Cl
0.777 0.223 0.223 Cl
0.777 0.223 0.777 Cl
0.777 0.777 0.223 Cl
```

# FePCl8
Simulated powder diffraction line list, CuKα. Input: a crystal structure in the Materials Project, relaxed with PBE.
Peak positions follow from Bragg's law for the DFT cell and can differ from measured ones.

Largest 8 diffraction maxima, in order of rising 2θ, 10 to 90 degrees two-theta:
2θ (°)  intensity
16.55  44
17.69  100
22.61  45
24.51  31
29.23  34
29.56  44
30.23  37
40.00  28

```
FePCl8
1.0
6.338 0.000 0.000
0.000 13.970 0.000
0.000 0.000 14.402
Fe P Cl
4 4 32
direct
0.227 0.026 0.250 Fe
0.227 0.474 0.750 Fe
0.773 0.526 0.250 Fe
0.773 0.974 0.750 Fe
0.455 0.750 0.000 P
0.455 0.750 0.500 P
0.545 0.250 0.000 P
0.545 0.250 0.500 P
0.097 0.538 0.622 Cl
0.097 0.538 0.878 Cl
0.097 0.962 0.122 Cl
0.097 0.962 0.378 Cl
0.158 0.183 0.250 Cl
0.158 0.317 0.750 Cl
0.275 0.698 0.099 Cl
0.275 0.698 0.401 Cl
0.275 0.802 0.599 Cl
0.275 0.802 0.901 Cl
0.365 0.148 0.550 Cl
0.365 0.148 0.950 Cl
0.365 0.352 0.050 Cl
0.365 0.352 0.450 Cl
0.430 0.504 0.250 Cl
0.430 0.996 0.750 Cl
0.570 0.004 0.250 Cl
0.570 0.496 0.750 Cl
0.635 0.648 0.550 Cl
0.635 0.648 0.950 Cl
0.635 0.852 0.050 Cl
0.635 0.852 0.450 Cl
0.725 0.198 0.099 Cl
0.725 0.198 0.401 Cl
0.725 0.302 0.599 Cl
0.725 0.302 0.901 Cl
0.842 0.683 0.250 Cl
0.842 0.817 0.750 Cl
0.903 0.038 0.622 Cl
0.903 0.038 0.878 Cl
0.903 0.462 0.122 Cl
0.903 0.462 0.378 Cl
```

# Rb4FeSbCl12
Simulated powder diffraction line list, CuKα. Input: a crystal structure in the Materials Project, relaxed with PBE.
Peak positions follow from Bragg's law for the DFT cell and can differ from measured ones.

Largest 8 diffraction maxima, in order of rising 2θ, 10 to 90 degrees two-theta:
2θ (°)  intensity
15.10  73
24.77  100
30.46  92
35.17  39
35.39  78
43.67  28
50.75  48
50.92  25

```
Rb4FeSbCl12
1.0
7.173 0.000 0.000
0.000 7.173 0.000
0.000 0.000 10.208
Rb Fe Sb Cl
4 1 1 12
direct
0.000 0.500 0.241 Rb
0.000 0.500 0.759 Rb
0.500 0.000 0.241 Rb
0.500 0.000 0.759 Rb
0.000 0.000 0.000 Fe
0.500 0.500 0.500 Sb
0.000 0.000 0.222 Cl
0.000 0.000 0.778 Cl
0.224 0.224 0.000 Cl
0.224 0.776 0.000 Cl
0.252 0.252 0.500 Cl
0.252 0.748 0.500 Cl
0.500 0.500 0.253 Cl
0.500 0.500 0.747 Cl
0.748 0.252 0.500 Cl
0.748 0.748 0.500 Cl
0.776 0.224 0.000 Cl
0.776 0.776 0.000 Cl
```